Record 1
Re2RhSe: calculated powder XRD pattern (CuKα), based on DFT lattice parameters and positions (GGA-PBE).
Neutral-atom scattering factors, no anomalous dispersion.

Largest 10 diffraction maxima, in order of falling intensity, 2θ from 10° to 90°:
h k l, 2θ (°), I (rel.)
1 1 0, 38.99, 100
0 1 2, 39.72, 83
1 0 2, 44.71, 59
1 2 2, 67.53, 35
0 0 1, 15.67, 33
0 2 0, 47.82, 28
2 1 2, 78.08, 23
1 1 4, 79.48, 14
1 1 1, 42.26, 12
2 0 0, 64.06, 12

Structural model:
```
data_Re2RhSe
_symmetry_space_group_name_H-M 'P m m 2'
_symmetry_Int_Tables_number 25
_cell_length_a 2.9071
_cell_length_b 3.8044
_cell_length_c 5.6554
_cell_angle_alpha 90.00
_cell_angle_beta 90.00
_cell_angle_gamma 90.00
loop_
_symmetry_equiv_pos_as_xyz
'x,y,z'
'-x,-y,z'
'-x,y,z'
'x,-y,z'
loop_
_atom_site_label
_atom_site_fract_x
_atom_site_fract_y
_atom_site_fract_z
Re1 0.0000 0.0000 0.0000
Re2 0.5000 0.5000 0.2021
Rh1 0.0000 0.0000 0.4823
Se1 0.5000 0.5000 0.6639
```

Record 2
U2SiRu3: calculated powder XRD pattern (CuKα), based on DFT lattice parameters and positions (GGA-PBE).
Neutral-atom scattering factors, no anomalous dispersion.

Largest 10 diffraction maxima, in order of falling intensity, 2θ from 10° to 90°:
h k l, 2θ (°), I (rel.)
0 2 1, 38.21, 100
1 1 3, 40.45, 85
1 0 4, 37.17, 81
1 1 0, 32.18, 61
1 0 1, 20.06, 48
0 1 5, 44.65, 42
2 1 4, 60.68, 40
2 2 0, 67.32, 33
2 0 2, 40.78, 29
1 2 5, 66.16, 26

Structural model:
```
data_U2SiRu3
_symmetry_space_group_name_H-M 'R -3 m'
_symmetry_Int_Tables_number 166
_symmetry_space_group_name_Hall '-R 3 2"'
_cell_length_a 5.5636
_cell_length_b 5.5636
_cell_length_c 11.1891
_cell_angle_alpha 90.00
_cell_angle_beta 90.00
_cell_angle_gamma 120.00
loop_
_atom_site_label
_atom_site_fract_x
_atom_site_fract_y
_atom_site_fract_z
U1 0.0000 0.0000 0.1213
Si1 0.0000 0.0000 0.5000
Ru1 0.0000 0.5000 0.0000
```

Record 3
Na12Tl6Ge: calculated powder XRD pattern (CuKα), based on DFT lattice parameters and positions (GGA-PBE).
Neutral-atom scattering factors, no anomalous dispersion.

Largest 10 diffraction maxima, in order of falling intensity, 2θ from 10° to 90°:
h k l, 2θ (°), I (rel.)
1 3 1, 32.70, 100
1 1 3, 24.00, 55
4 -1 2, 34.47, 55
1 0 1, 10.72, 49
2 1 4, 34.24, 47
2 0 2, 21.53, 45
0 1 2, 15.10, 44
0 0 3, 18.42, 37
1 1 0, 15.26, 35
2 1 1, 24.21, 27

Structural model:
```
data_Na12Tl6Ge
_symmetry_space_group_name_H-M 'R -3'
_symmetry_Int_Tables_number 148
_symmetry_space_group_name_Hall '-R 3'
_cell_length_a 11.6121
_cell_length_b 11.6121
_cell_length_c 14.4529
_cell_angle_alpha 90.00
_cell_angle_beta 90.00
_cell_angle_gamma 120.00
loop_
_atom_site_label
_atom_site_fract_x
_atom_site_fract_y
_atom_site_fract_z
Na1 0.0399 0.1868 0.3193
Na2 0.0590 0.8405 0.9108
Tl1 0.0348 0.4399 0.2098
Ge1 0.0000 0.0000 0.5000
```